Record 1
# V7Cr2Ga2
Simulated powder XRD pattern, Cu Ka. Input: the PBE geometry in Alexandria.
Peak positions follow from Bragg's law for the DFT cell and can differ from measured ones.

Structure:
```
V7Cr2Ga2
1.0
3.444 -4.508 0.000
3.444 4.508 0.000
0.000 0.000 5.358
V Cr Ga
7 2 2
Cartesian
0.000 0.000 0.000
1.722 2.254 1.404
1.722 2.254 3.955
1.722 -2.254 1.404
1.722 -2.254 3.955
3.444 0.000 1.349
3.444 0.000 4.009
3.444 2.068 0.000
3.444 -2.068 0.000
1.208 0.000 2.679
5.681 0.000 2.679
```

Most intense lines, 10 to 90 degrees two-theta, in order of rising 2θ:
2θ/deg  I_rel
25.83  51.6
30.86  62.2
32.72  20.5
37.37  44.6
40.00  77.4
40.54  18.8
44.07  22.4
47.33  34.9
47.49  100.0
51.36  24.3
53.02  21.1
78.01  17.8


Record 2
# Y4CrGa12
Simulated powder XRD pattern, Cu Ka. Input: the PBE geometry in Alexandria.
Peak positions follow from Bragg's law for the DFT cell and can differ from measured ones.

Structure:
```
Y4CrGa12
1.0
-4.321 4.321 4.321
4.321 -4.321 4.321
4.321 4.321 -4.321
Y Cr Ga
4 1 12
Cartesian
2.160 2.160 -2.160
2.160 -2.160 2.160
-2.160 2.160 2.160
2.160 2.160 2.160
0.000 0.000 0.000
2.493 0.000 0.000
6.148 0.000 0.000
4.321 2.160 0.000
4.321 0.000 2.160
0.000 2.493 0.000
0.000 0.000 2.493
2.160 4.321 0.000
2.160 0.000 4.321
0.000 6.148 0.000
0.000 0.000 6.148
0.000 4.321 2.160
0.000 2.160 4.321
```

Most intense lines, 10 to 90 degrees two-theta, in order of rising 2θ:
2θ/deg  I_rel
29.23  5.1
32.77  4.1
36.00  100.0
39.00  6.5
41.81  57.4
44.48  4.7
49.47  6.4
60.61  33.1
72.56  29.7
76.35  9.8
81.92  4.9
89.24  3.1


Record 3
# Zn23CrGa6
Simulated powder XRD pattern, Cu Ka. Input: the PBE geometry in Alexandria.
Peak positions follow from Bragg's law for the DFT cell and can differ from measured ones.

Structure:
```
Zn23CrGa6
1.0
0.000 6.257 6.257
6.257 0.000 6.257
6.257 6.257 0.000
Zn Cr Ga
23 1 6
Cartesian
0.000 0.000 0.000
3.129 3.129 0.000
3.129 0.000 3.129
6.257 3.129 3.129
8.287 4.227 4.227
1.525 1.525 1.525
4.732 4.732 1.525
4.732 1.525 4.732
4.227 4.227 4.227
8.287 8.287 4.227
8.287 4.227 8.287
10.989 7.783 7.783
0.000 3.129 3.129
3.129 6.257 3.129
3.129 3.129 6.257
1.525 4.732 4.732
4.227 8.287 4.227
4.227 4.227 8.287
8.287 8.287 8.287
7.783 10.989 7.783
7.783 7.783 10.989
10.989 10.989 10.989
4.227 8.287 8.287
6.257 6.257 6.257
6.257 6.257 3.516
6.257 3.516 6.257
8.998 6.257 6.257
3.516 6.257 6.257
6.257 8.998 6.257
6.257 6.257 8.998
```

Most intense lines, 10 to 90 degrees two-theta, in order of rising 2θ:
2θ/deg  I_rel
31.98  7.3
35.13  7.0
37.34  31.6
40.79  100.0
42.75  9.2
43.38  7.6
59.05  8.8
68.28  6.2
71.98  8.2
74.25  17.5
75.60  7.6
88.36  5.9


What did the third record say?
# Zn23CrGa6
Simulated powder XRD pattern, Cu Ka. Input: the PBE geometry in Alexandria.
Peak positions follow from Bragg's law for the DFT cell and can differ from measured ones.

Structure:
```
Zn23CrGa6
1.0
0.000 6.257 6.257
6.257 0.000 6.257
6.257 6.257 0.000
Zn Cr Ga
23 1 6
Cartesian
0.000 0.000 0.000
3.129 3.129 0.000
3.129 0.000 3.129
6.257 3.129 3.129
8.287 4.227 4.227
1.525 1.525 1.525
4.732 4.732 1.525
4.732 1.525 4.732
4.227 4.227 4.227
8.287 8.287 4.227
8.287 4.227 8.287
10.989 7.783 7.783
0.000 3.129 3.129
3.129 6.257 3.129
3.129 3.129 6.257
1.525 4.732 4.732
4.227 8.287 4.227
4.227 4.227 8.287
8.287 8.287 8.287
7.783 10.989 7.783
7.783 7.783 10.989
10.989 10.989 10.989
4.227 8.287 8.287
6.257 6.257 6.257
6.257 6.257 3.516
6.257 3.516 6.257
8.998 6.257 6.257
3.516 6.257 6.257
6.257 8.998 6.257
6.257 6.257 8.998
```

Most intense lines, 10 to 90 degrees two-theta, in order of rising 2θ:
2θ/deg  I_rel
31.98  7.3
35.13  7.0
37.34  31.6
40.79  100.0
42.75  9.2
43.38  7.6
59.05  8.8
68.28  6.2
71.98  8.2
74.25  17.5
75.60  7.6
88.36  5.9